# PuMg2Cd10
Calculated X-ray powder pattern, copper Kα. Input: a DFT-relaxed cell (PBE, Alexandria).
Kinematic intensities with the Lorentz-polarization factor, no thermal factor.

Peak list (8 most intense, 10° ≤ 2θ ≤ 90°, in order of rising 2θ)
- 2θ = 12.54°, intensity 345, hkl 0 0 2
- 2θ = 29.82°, intensity 559, hkl 2 0 0
- 2θ = 30.78°, intensity 975, hkl 1 3 3
- 2θ = 34.95°, intensity 923, hkl 2 2 2
- 2θ = 35.70°, intensity 1000, hkl 1 1 5
- 2θ = 35.87°, intensity 929, hkl 1 5 1
- 2θ = 36.06°, intensity 777, hkl 0 4 4
- 2θ = 64.12°, intensity 399, hkl 2 6 6

Atomic structure:
```
data_PuMg2Cd10
_cell_length_a 5.992
_cell_length_b 14.048
_cell_length_c 14.132
_cell_angle_alpha 90.00
_cell_angle_beta 90.00
_cell_angle_gamma 90.00
_symmetry_space_group_name_H-M 'F m m m'
_symmetry_Int_Tables_number 69
_symmetry_space_group_name_Hall '-F 2 2'
loop_
_atom_site_label
_atom_site_type_symbol
_atom_site_fract_x
_atom_site_fract_y
_atom_site_fract_z
Pu1 Pu 0.000 0.000 0.000
Mg1 Mg 0.250 0.000 0.250
Cd1 Cd 0.000 0.106 0.392
Cd2 Cd 0.000 0.172 0.176
Cd3 Cd 0.250 0.250 0.000
```

# PuMg2Cd2Sn2
Calculated X-ray powder pattern, copper Kα. Input: a DFT-relaxed cell (PBE, Alexandria).
Kinematic intensities with the Lorentz-polarization factor, no thermal factor.

Peak list (8 most intense, 10° ≤ 2θ ≤ 90°, in order of rising 2θ)
- 2θ = 10.93°, intensity 277, hkl 0 0 3
- 2θ = 25.53°, intensity 693, hkl 1 0 4
- 2θ = 33.29°, intensity 1000, hkl 1 0 7
- 2θ = 36.50°, intensity 974, hkl 1 1 0
- 2θ = 46.31°, intensity 218, hkl 0 1 11
- 2θ = 50.22°, intensity 380, hkl 0 2 7
- 2θ = 63.67°, intensity 295, hkl 2 1 7
- 2θ = 65.70°, intensity 176, hkl 3 0 0

Atomic structure:
```
data_PuMg2Cd2Sn2
_cell_length_a 4.9229
_cell_length_b 4.9229
_cell_length_c 24.2860
_cell_angle_alpha 90.00
_cell_angle_beta 90.00
_cell_angle_gamma 120.00
_symmetry_space_group_name_H-M 'R -3 m'
_symmetry_Int_Tables_number 166
_symmetry_space_group_name_Hall '-R 3 2"'
loop_
_atom_site_label
_atom_site_type_symbol
_atom_site_fract_x
_atom_site_fract_y
_atom_site_fract_z
Pu1 Pu 0.0000 0.0000 0.0000
Mg1 Mg 0.0000 0.0000 0.1395
Cd1 Cd 0.0000 0.0000 0.4375
Sn1 Sn 0.0000 0.0000 0.2673
```

# PuThMgCd
Calculated X-ray powder pattern, copper Kα. Input: a DFT-relaxed cell (PBE, Alexandria).
Kinematic intensities with the Lorentz-polarization factor, no thermal factor.

Peak list (8 most intense, 10° ≤ 2θ ≤ 90°, in order of rising 2θ)
- 2θ = 23.32°, intensity 330, hkl 2 0 0
- 2θ = 33.21°, intensity 1000, hkl 2 2 0
- 2θ = 40.98°, intensity 107, hkl 2 2 2
- 2θ = 47.68°, intensity 184, hkl 4 0 0
- 2θ = 53.73°, intensity 153, hkl 4 2 0
- 2θ = 59.34°, intensity 385, hkl 4 2 2
- 2θ = 69.72°, intensity 119, hkl 4 4 0
- 2θ = 79.45°, intensity 168, hkl 6 2 0

Atomic structure:
```
data_PuThMgCd
_cell_length_a 7.629
_cell_length_b 7.629
_cell_length_c 7.629
_cell_angle_alpha 90.00
_cell_angle_beta 90.00
_cell_angle_gamma 90.00
_symmetry_space_group_name_H-M 'F -4 3 m'
_symmetry_Int_Tables_number 216
_symmetry_space_group_name_Hall 'F -4 2 3'
loop_
_atom_site_label
_atom_site_type_symbol
_atom_site_fract_x
_atom_site_fract_y
_atom_site_fract_z
Pu1 Pu 0.000 0.000 0.000
Th1 Th 0.000 0.000 0.500
Mg1 Mg 0.250 0.250 0.750
Cd1 Cd 0.250 0.250 0.250
```

# PuMgZnCd
Calculated X-ray powder pattern, copper Kα. Input: a DFT-relaxed cell (PBE, Alexandria).
Kinematic intensities with the Lorentz-polarization factor, no thermal factor.

Peak list (8 most intense, 10° ≤ 2θ ≤ 90°, in order of rising 2θ)
- 2θ = 10.30°, intensity 722, hkl 0 0 1
- 2θ = 30.12°, intensity 481, hkl 1 0 1
- 2θ = 31.25°, intensity 167, hkl 0 0 3
- 2θ = 35.26°, intensity 1000, hkl 1 0 2
- 2θ = 40.34°, intensity 369, hkl 1 1 0
- 2θ = 51.90°, intensity 164, hkl 1 1 3
- 2θ = 59.72°, intensity 177, hkl 1 1 4
- 2θ = 70.07°, intensity 267, hkl 2 1 2

Atomic structure:
```
data_PuMgZnCd
_cell_length_a 3.162
_cell_length_b 3.162
_cell_length_c 8.586
_cell_angle_alpha 90.00
_cell_angle_beta 90.00
_cell_angle_gamma 90.00
_symmetry_space_group_name_H-M 'P 4 m m'
_symmetry_Int_Tables_number 99
_symmetry_space_group_name_Hall 'P 4 -2'
loop_
_atom_site_label
_atom_site_type_symbol
_atom_site_fract_x
_atom_site_fract_y
_atom_site_fract_z
Pu1 Pu 0.000 0.000 0.000
Mg1 Mg 0.000 0.000 0.544
Zn1 Zn 0.500 0.500 0.750
Cd1 Cd 0.500 0.500 0.294
```

Repeat the fourth record exactly.
# PuMgZnCd
Calculated X-ray powder pattern, copper Kα. Input: a DFT-relaxed cell (PBE, Alexandria).
Kinematic intensities with the Lorentz-polarization factor, no thermal factor.

Peak list (8 most intense, 10° ≤ 2θ ≤ 90°, in order of rising 2θ)
- 2θ = 10.30°, intensity 722, hkl 0 0 1
- 2θ = 30.12°, intensity 481, hkl 1 0 1
- 2θ = 31.25°, intensity 167, hkl 0 0 3
- 2θ = 35.26°, intensity 1000, hkl 1 0 2
- 2θ = 40.34°, intensity 369, hkl 1 1 0
- 2θ = 51.90°, intensity 164, hkl 1 1 3
- 2θ = 59.72°, intensity 177, hkl 1 1 4
- 2θ = 70.07°, intensity 267, hkl 2 1 2

Atomic structure:
```
data_PuMgZnCd
_cell_length_a 3.162
_cell_length_b 3.162
_cell_length_c 8.586
_cell_angle_alpha 90.00
_cell_angle_beta 90.00
_cell_angle_gamma 90.00
_symmetry_space_group_name_H-M 'P 4 m m'
_symmetry_Int_Tables_number 99
_symmetry_space_group_name_Hall 'P 4 -2'
loop_
_atom_site_label
_atom_site_type_symbol
_atom_site_fract_x
_atom_site_fract_y
_atom_site_fract_z
Pu1 Pu 0.000 0.000 0.000
Mg1 Mg 0.000 0.000 0.544
Zn1 Zn 0.500 0.500 0.750
Cd1 Cd 0.500 0.500 0.294
```

- Which formula does entry 3 have?
  PuThMgCd